[1]
The following is a calculated X-ray powder pattern of Na3Be2TcO6. It was derived from the PBE geometry in Alexandria, using λ = 1.5418 Å (Cu Kα).

Crystal structure
```
data_Na3Be2TcO6
_chemical_formula_sum 'Na3 Be2 Tc1 O6'
_cell_length_a 5.3560
_cell_length_b 5.3560
_cell_length_c 6.0447
_cell_angle_alpha 90.00
_cell_angle_beta 90.00
_cell_angle_gamma 120.00
_symmetry_space_group_name_H-M 'P -3 m 1'
_symmetry_Int_Tables_number 164
_symmetry_space_group_name_Hall '-P 3 2"'
loop_
_atom_site_label
_atom_site_type_symbol
_atom_site_fract_x
_atom_site_fract_y
_atom_site_fract_z
_atom_site_occupancy
Na1 Na 0.0000 0.0000 0.0000 1
Na2 Na 0.3333 0.6667 0.7265 1
Be1 Be 0.3333 0.6667 0.2946 1
Tc1 Tc 0.0000 0.0000 0.5000 1
O1 O 0.1692 0.3383 0.3004 1
```

Principal peaks in the range 2θ = 10–90°, sorted by position:
2θ/deg, I/Imax, h k l
14.7, 77, 0 0 1
19.1, 100, 1 0 0
24.2, 54, 0 1 1
33.5, 47, 1 1 0
35.4, 70, 1 0 2
36.7, 18, 1 1 1
41.7, 33, 2 0 1
45.2, 15, 1 1 2
49.5, 49, 2 0 2
61.1, 26, 2 1 2

[2]
The following is a calculated X-ray powder pattern of Na7Au. It was derived from the PBE geometry in Alexandria, using λ = 1.5418 Å (Cu Kα).

Crystal structure
```
data_Na7Au
_chemical_formula_sum 'Na21 Au3'
_cell_length_a 5.5218
_cell_length_b 5.5218
_cell_length_c 27.6015
_cell_angle_alpha 90.00
_cell_angle_beta 90.00
_cell_angle_gamma 120.00
_symmetry_space_group_name_H-M 'R -3 m'
_symmetry_Int_Tables_number 166
_symmetry_space_group_name_Hall '-R 3 2"'
loop_
_atom_site_label
_atom_site_type_symbol
_atom_site_fract_x
_atom_site_fract_y
_atom_site_fract_z
_atom_site_occupancy
Na1 Na 0.0000 0.0000 0.0000 1
Na2 Na 0.0000 0.0000 0.1346 1
Na3 Na 0.0000 0.0000 0.2505 1
Na4 Na 0.0000 0.0000 0.3890 1
Au1 Au 0.0000 0.0000 0.5000 1
```

Principal peaks in the range 2θ = 10–90°, sorted by position:
2θ/deg, I/Imax, h k l
18.8, 85, 1 0 1
19.6, 75, 0 1 2
22.6, 55, 1 0 4
24.6, 32, 0 1 5
32.0, 94, 0 1 8
32.4, 100, 1 1 0
33.9, 46, 1 1 3
44.1, 28, 1 1 9
46.2, 33, 2 0 8
57.6, 34, 1 2 8

[3]
The following is a calculated X-ray powder pattern of Sc2Ni3. It was derived from the PBE geometry in Alexandria, using λ = 1.5418 Å (Cu Kα).

Crystal structure
```
data_Sc2Ni3
_chemical_formula_sum 'Sc2 Ni3'
_cell_length_a 4.1473
_cell_length_b 4.1473
_cell_length_c 5.4858
_cell_angle_alpha 90.00
_cell_angle_beta 90.00
_cell_angle_gamma 120.00
_symmetry_space_group_name_H-M 'P -3 m 1'
_symmetry_Int_Tables_number 164
_symmetry_space_group_name_Hall '-P 3 2"'
loop_
_atom_site_label
_atom_site_type_symbol
_atom_site_fract_x
_atom_site_fract_y
_atom_site_fract_z
_atom_site_occupancy
Sc1 Sc 0.3333 0.6667 0.1889 1
Ni1 Ni 0.0000 0.0000 0.5000 1
Ni2 Ni 0.3333 0.6667 0.6481 1
```

Principal peaks in the range 2θ = 10–90°, sorted by position:
2θ/deg, I/Imax, h k l
16.2, 56, 0 0 1
29.7, 14, 0 1 1
41.4, 100, 0 1 2
43.7, 87, 1 1 0
46.8, 21, 1 1 1
56.5, 12, 0 1 3
61.7, 28, 2 0 2
74.0, 18, 1 0 4
78.6, 26, 1 2 2
80.2, 13, 3 0 0

[4]
The following is a calculated X-ray powder pattern of UCd2F11. It was derived from the PBE geometry in Alexandria, using λ = 1.5418 Å (Cu Kα).

Crystal structure
```
data_UCd2F11
_chemical_formula_sum 'U4 Cd8 F44'
_cell_length_a 8.1035
_cell_length_b 10.1888
_cell_length_c 11.4409
_cell_angle_alpha 90.00
_cell_angle_beta 90.00
_cell_angle_gamma 90.00
_symmetry_space_group_name_H-M 'I b a m'
_symmetry_Int_Tables_number 72
_symmetry_space_group_name_Hall '-I 2 2c'
loop_
_atom_site_label
_atom_site_type_symbol
_atom_site_fract_x
_atom_site_fract_y
_atom_site_fract_z
_atom_site_occupancy
U1 U 0.0000 0.0000 0.2500 1
Cd1 Cd 0.1595 0.3091 0.0000 1
F1 F 0.0000 0.5000 0.0000 1
F2 F 0.0949 0.1612 0.1520 1
F3 F 0.1134 0.3072 0.5000 1
F4 F 0.1966 0.0713 0.3583 1
```

Principal peaks in the range 2θ = 10–90°, sorted by position:
2θ/deg, I/Imax, h k l
14.0, 53, 1 1 0
20.9, 100, 1 1 2
22.0, 17, 1 2 1
23.4, 61, 0 2 2
24.9, 21, 2 1 1
27.0, 23, 2 0 2
28.5, 18, 1 3 0
42.6, 20, 2 2 4
42.8, 23, 1 3 4
45.8, 28, 3 3 2

[5]
The following is a calculated X-ray powder pattern of UAl3Pd12. It was derived from the PBE geometry in Alexandria, using λ = 1.5418 Å (Cu Kα).

Crystal structure
```
data_UAl3Pd12
_chemical_formula_sum 'U1 Al3 Pd12'
_cell_length_a 3.9900
_cell_length_b 3.9900
_cell_length_c 15.6859
_cell_angle_alpha 90.00
_cell_angle_beta 90.00
_cell_angle_gamma 90.00
_symmetry_space_group_name_H-M 'P 4/m m m'
_symmetry_Int_Tables_number 123
_symmetry_space_group_name_Hall '-P 4 2'
loop_
_atom_site_label
_atom_site_type_symbol
_atom_site_fract_x
_atom_site_fract_y
_atom_site_fract_z
_atom_site_occupancy
U1 U 0.0000 0.0000 0.0000 1
Al1 Al 0.0000 0.0000 0.2646 1
Al2 Al 0.0000 0.0000 0.5000 1
Pd1 Pd 0.0000 0.5000 0.1311 1
Pd2 Pd 0.0000 0.5000 0.3785 1
Pd3 Pd 0.5000 0.5000 0.0000 1
Pd4 Pd 0.5000 0.5000 0.2551 1
Pd5 Pd 0.5000 0.5000 0.5000 1
```

Principal peaks in the range 2θ = 10–90°, sorted by position:
2θ/deg, I/Imax, h k l
11.3, 6, 0 0 2
23.0, 6, 1 0 1
39.3, 100, 1 1 4
45.5, 33, 2 0 0
46.3, 15, 0 0 8
66.3, 11, 2 2 0
66.9, 20, 2 0 8
79.9, 25, 3 1 4
81.1, 11, 1 1 12
84.6, 10, 2 2 8

[6]
The following is a calculated X-ray powder pattern of TmHf2Ga8. It was derived from the PBE geometry in Alexandria, using λ = 1.5418 Å (Cu Kα).

Crystal structure
```
data_TmHf2Ga8
_chemical_formula_sum 'Tm2 Hf4 Ga16'
_cell_length_a 7.1635
_cell_length_b 12.2406
_cell_length_c 5.4092
_cell_angle_alpha 90.00
_cell_angle_beta 111.32
_cell_angle_gamma 90.00
_symmetry_space_group_name_H-M 'C 1 2/m 1'
_symmetry_Int_Tables_number 12
_symmetry_space_group_name_Hall '-C 2y'
loop_
_atom_site_label
_atom_site_type_symbol
_atom_site_fract_x
_atom_site_fract_y
_atom_site_fract_z
_atom_site_occupancy
Tm1 Tm 0.0000 0.0000 0.0000 1
Hf1 Hf 0.0000 0.2851 0.5000 1
Ga1 Ga 0.0000 0.2401 0.0000 1
Ga2 Ga 0.0757 0.5000 0.7575 1
Ga3 Ga 0.2306 0.1051 0.6948 1
```

Principal peaks in the range 2θ = 10–90°, sorted by position:
2θ/deg, I/Imax, h k l
22.9, 46, 0 2 1
26.7, 80, 2 0 0
34.0, 33, 1 1 -2
36.0, 49, 2 0 -2
38.5, 47, 3 1 -1
38.6, 29, 0 2 2
40.0, 100, 2 4 0
40.2, 27, 2 2 1
41.1, 75, 1 5 -1
46.7, 23, 0 4 2

[7]
The following is a calculated X-ray powder pattern of La8YEr4. It was derived from the PBE geometry in Alexandria, using λ = 1.5418 Å (Cu Kα).

Crystal structure
```
data_La8YEr4
_chemical_formula_sum 'La24 Y3 Er12'
_cell_length_a 11.2470
_cell_length_b 11.2470
_cell_length_c 13.7560
_cell_angle_alpha 90.00
_cell_angle_beta 90.00
_cell_angle_gamma 120.00
_symmetry_space_group_name_H-M 'R -3 m'
_symmetry_Int_Tables_number 166
_symmetry_space_group_name_Hall '-R 3 2"'
loop_
_atom_site_label
_atom_site_type_symbol
_atom_site_fract_x
_atom_site_fract_y
_atom_site_fract_z
_atom_site_occupancy
La1 La 0.0000 0.0000 0.2391 1
La2 La 0.0144 0.5072 0.7461 1
Y1 Y 0.0000 0.0000 0.5000 1
Er1 Er 0.0000 0.0000 0.0000 1
Er2 Er 0.0000 0.5000 0.0000 1
```

Principal peaks in the range 2θ = 10–90°, sorted by position:
2θ/deg, I/Imax, h k l
19.3, 22, 0 0 3
22.4, 4, 2 0 2
31.8, 100, 2 2 0
37.5, 13, 2 2 3
45.7, 18, 4 0 4
50.0, 6, 0 2 7
56.7, 37, 6 0 0
60.5, 4, 4 0 7
66.5, 11, 4 4 0
75.7, 15, 6 2 4

[8]
The following is a calculated X-ray powder pattern of Ac4B2Br5. It was derived from the PBE geometry in Alexandria, using λ = 1.5418 Å (Cu Kα).

Crystal structure
```
data_Ac4B2Br5
_chemical_formula_sum 'Ac8 B4 Br10'
_cell_length_a 4.3056
_cell_length_b 8.6769
_cell_length_c 19.7135
_cell_angle_alpha 90.00
_cell_angle_beta 90.00
_cell_angle_gamma 90.00
_symmetry_space_group_name_H-M 'I m m m'
_symmetry_Int_Tables_number 71
_symmetry_space_group_name_Hall '-I 2 2'
loop_
_atom_site_label
_atom_site_type_symbol
_atom_site_fract_x
_atom_site_fract_y
_atom_site_fract_z
_atom_site_occupancy
Ac1 Ac 0.0000 0.0000 0.1712 1
Ac2 Ac 0.0000 0.2923 0.5000 1
B1 B 0.0000 0.0000 0.0406 1
Br1 Br 0.0000 0.2339 0.3313 1
Br2 Br 0.0000 0.5000 0.0000 1
```

Principal peaks in the range 2θ = 10–90°, sorted by position:
2θ/deg, I/Imax, h k l
11.1, 39, 0 1 1
16.9, 34, 0 1 3
24.8, 73, 1 0 3
27.1, 72, 0 0 6
29.6, 100, 1 2 1
33.9, 42, 0 3 3
37.2, 64, 1 2 5
42.0, 23, 2 0 0
43.7, 26, 1 2 7
50.7, 26, 2 0 6

[9]
The following is a calculated X-ray powder pattern of BaMgBiF7. It was derived from the PBE geometry in Alexandria, using λ = 1.5418 Å (Cu Kα).

Crystal structure
```
data_BaMgBiF7
_chemical_formula_sum 'Ba4 Mg4 Bi4 F28'
_cell_length_a 5.7497
_cell_length_b 10.9272
_cell_length_c 9.8419
_cell_angle_alpha 90.00
_cell_angle_beta 94.47
_cell_angle_gamma 90.00
_symmetry_space_group_name_H-M 'P 1 21/c 1'
_symmetry_Int_Tables_number 14
_symmetry_space_group_name_Hall '-P 2ybc'
loop_
_atom_site_label
_atom_site_type_symbol
_atom_site_fract_x
_atom_site_fract_y
_atom_site_fract_z
_atom_site_occupancy
Ba1 Ba 0.2490 0.1518 0.0312 1
Mg1 Mg 0.2067 0.6501 0.7934 1
Bi1 Bi 0.2794 0.5773 0.1361 1
F1 F 0.0110 0.7034 0.2276 1
F2 F 0.0732 0.1123 0.5951 1
F3 F 0.0977 0.5573 0.6334 1
F4 F 0.3254 0.7270 0.9717 1
F5 F 0.3539 0.0019 0.3835 1
F6 F 0.3921 0.5150 0.3480 1
F7 F 0.4761 0.7460 0.2287 1
```

Principal peaks in the range 2θ = 10–90°, sorted by position:
2θ/deg, I/Imax, h k l
18.6, 35, 0 2 1
20.2, 29, 1 1 1
22.9, 37, 1 0 -2
23.8, 100, 1 2 -1
24.7, 76, 1 0 2
26.1, 35, 1 1 2
28.5, 38, 0 1 3
31.2, 32, 2 0 0
40.3, 27, 0 2 4
44.4, 35, 1 5 0

[10]
The following is a calculated X-ray powder pattern of NaSc3I8. It was derived from the PBE geometry in Alexandria, using λ = 1.5418 Å (Cu Kα).

Crystal structure
```
data_NaSc3I8
_chemical_formula_sum 'Na2 Sc6 I16'
_cell_length_a 8.3859
_cell_length_b 8.3859
_cell_length_c 15.0953
_cell_angle_alpha 90.00
_cell_angle_beta 90.00
_cell_angle_gamma 120.00
_symmetry_space_group_name_H-M 'P 63 m c'
_symmetry_Int_Tables_number 186
_symmetry_space_group_name_Hall 'P 6c -2c'
loop_
_atom_site_label
_atom_site_type_symbol
_atom_site_fract_x
_atom_site_fract_y
_atom_site_fract_z
_atom_site_occupancy
Na1 Na 0.3333 0.6667 0.0000 1
Sc1 Sc 0.1706 0.3411 0.7468 1
I1 I 0.0000 0.0000 0.3596 1
I2 I 0.0013 0.5006 0.8605 1
I3 I 0.1621 0.3242 0.1351 1
I4 I 0.3333 0.6667 0.6276 1
```

Principal peaks in the range 2θ = 10–90°, sorted by position:
2θ/deg, I/Imax, h k l
11.7, 15, 0 0 2
23.6, 28, 0 0 4
25.2, 25, 2 0 1
27.3, 100, 2 0 2
30.4, 37, 2 0 3
38.8, 21, 2 0 5
43.2, 34, 2 2 0
43.8, 24, 2 0 6
49.8, 22, 2 2 4
51.8, 16, 4 0 2

[11]
The following is a calculated X-ray powder pattern of MgTiMn2Co. It was derived from the PBE geometry in Alexandria, using λ = 1.5418 Å (Cu Kα).

Crystal structure
```
data_MgTiMn2Co
_chemical_formula_sum 'Mg1 Ti1 Mn2 Co1'
_cell_length_a 4.6444
_cell_length_b 4.6444
_cell_length_c 4.2734
_cell_angle_alpha 90.00
_cell_angle_beta 90.00
_cell_angle_gamma 90.00
_symmetry_space_group_name_H-M 'P 4/m m m'
_symmetry_Int_Tables_number 123
_symmetry_space_group_name_Hall '-P 4 2'
loop_
_atom_site_label
_atom_site_type_symbol
_atom_site_fract_x
_atom_site_fract_y
_atom_site_fract_z
_atom_site_occupancy
Mg1 Mg 0.0000 0.0000 0.0000 1
Ti1 Ti 0.5000 0.5000 0.0000 1
Mn1 Mn 0.0000 0.5000 0.5000 1
Co1 Co 0.5000 0.5000 0.5000 1
```

Principal peaks in the range 2θ = 10–90°, sorted by position:
2θ/deg, I/Imax, h k l
19.1, 75, 1 0 0
20.8, 44, 0 0 1
34.4, 70, 1 1 1
38.8, 100, 2 0 0
42.3, 38, 0 0 2
44.4, 22, 2 0 1
56.0, 31, 2 2 0
58.7, 54, 2 0 2
67.4, 17, 3 1 1
72.6, 27, 2 2 2

[12]
The following is a calculated X-ray powder pattern of KMg2In4Pb. It was derived from the PBE geometry in Alexandria, using λ = 1.5418 Å (Cu Kα).

Crystal structure
```
data_KMg2In4Pb
_chemical_formula_sum 'K3 Mg6 In12 Pb3'
_cell_length_a 5.2451
_cell_length_b 5.2451
_cell_length_c 31.4373
_cell_angle_alpha 90.00
_cell_angle_beta 90.00
_cell_angle_gamma 120.00
_symmetry_space_group_name_H-M 'R -3 m'
_symmetry_Int_Tables_number 166
_symmetry_space_group_name_Hall '-R 3 2"'
loop_
_atom_site_label
_atom_site_type_symbol
_atom_site_fract_x
_atom_site_fract_y
_atom_site_fract_z
_atom_site_occupancy
K1 K 0.0000 0.0000 0.0000 1
Mg1 Mg 0.0000 0.0000 0.2238 1
In1 In 0.0000 0.0000 0.1172 1
In2 In 0.0000 0.0000 0.4020 1
Pb1 Pb 0.0000 0.0000 0.5000 1
```

Principal peaks in the range 2θ = 10–90°, sorted by position:
2θ/deg, I/Imax, h k l
20.4, 54, 0 1 2
30.1, 65, 0 1 8
34.2, 100, 1 1 0
34.7, 57, 1 0 10
35.3, 22, 1 1 3
37.2, 31, 0 1 11
46.2, 20, 2 0 8
49.5, 20, 0 2 10
58.7, 19, 1 2 8
61.5, 21, 2 1 10

Copy entry 3 word for word.
The following is a calculated X-ray powder pattern of Sc2Ni3. It was derived from the PBE geometry in Alexandria, using λ = 1.5418 Å (Cu Kα).

Crystal structure
```
data_Sc2Ni3
_chemical_formula_sum 'Sc2 Ni3'
_cell_length_a 4.1473
_cell_length_b 4.1473
_cell_length_c 5.4858
_cell_angle_alpha 90.00
_cell_angle_beta 90.00
_cell_angle_gamma 120.00
_symmetry_space_group_name_H-M 'P -3 m 1'
_symmetry_Int_Tables_number 164
_symmetry_space_group_name_Hall '-P 3 2"'
loop_
_atom_site_label
_atom_site_type_symbol
_atom_site_fract_x
_atom_site_fract_y
_atom_site_fract_z
_atom_site_occupancy
Sc1 Sc 0.3333 0.6667 0.1889 1
Ni1 Ni 0.0000 0.0000 0.5000 1
Ni2 Ni 0.3333 0.6667 0.6481 1
```

Principal peaks in the range 2θ = 10–90°, sorted by position:
2θ/deg, I/Imax, h k l
16.2, 56, 0 0 1
29.7, 14, 0 1 1
41.4, 100, 0 1 2
43.7, 87, 1 1 0
46.8, 21, 1 1 1
56.5, 12, 0 1 3
61.7, 28, 2 0 2
74.0, 18, 1 0 4
78.6, 26, 1 2 2
80.2, 13, 3 0 0